Diffraction record for OsRhPb2O8. The PXRD pattern is theoretical, not measured: it uses a GGA-PBE-relaxed structure and CuKα.
Neutral-atom scattering factors, no anomalous dispersion.

The 10 most intense peaks (2θ from 5° to 70°), by intensity:
2θ 25.43, I = 100
2θ 25.82, I = 90
2θ 32.91, I = 88
2θ 32.62, I = 81
2θ 49.98, I = 37
2θ 62.60, I = 35
2θ 49.36, I = 33
2θ 50.43, I = 31
2θ 36.01, I = 31
2θ 49.81, I = 30

Crystal structure
Unit cell a=4.8491 b=6.5760 c=4.9881 alpha=90.00 beta=90.87 gamma=90.00
Sites, in units of the cell vectors:
Os (0.0000, 0.0000, 0.0000)
Rh (0.0000, 0.5000, 0.0000)
Pb (0.5000, 0.2553, 0.5000)
Pb (0.5000, 0.7447, 0.5000)
O (0.1906, 0.2402, 0.8499)
O (0.1906, 0.7598, 0.8499)
O (0.2552, 0.0000, 0.2963)
O (0.2597, 0.5000, 0.3204)
O (0.7403, 0.5000, 0.6796)
O (0.7448, 0.0000, 0.7037)
O (0.8094, 0.2402, 0.1501)
O (0.8094, 0.7598, 0.1501)

Diffraction record for Tl5Sb4Pb2. The PXRD pattern is theoretical, not measured: it uses a GGA-PBE-relaxed structure and CuKα.
Neutral-atom scattering factors, no anomalous dispersion.

The 10 most intense peaks (2θ from 5° to 70°), by intensity:
2θ 31.06, I = 100
2θ 25.03, I = 62
2θ 38.94, I = 28
2θ 30.39, I = 28
2θ 40.38, I = 24
2θ 32.36, I = 23
2θ 25.46, I = 19
2θ 25.82, I = 16
2θ 35.55, I = 16
2θ 51.50, I = 13

Crystal structure
Unit cell a=11.3548 b=11.3548 c=7.6445 alpha=95.31 beta=95.31 gamma=23.50
Sites, in units of the cell vectors:
Tl (0.0000, 0.0000, 0.0000)
Tl (0.2533, 0.2533, 0.7612)
Tl (0.3798, 0.3798, 0.1899)
Tl (0.6202, 0.6202, 0.8101)
Tl (0.7467, 0.7467, 0.2388)
Sb (0.1608, 0.1608, 0.0785)
Sb (0.4725, 0.4725, 0.6621)
Sb (0.5275, 0.5275, 0.3379)
Sb (0.8392, 0.8392, 0.9215)
Pb (0.1153, 0.1153, 0.4369)
Pb (0.8847, 0.8847, 0.5631)

Diffraction record for Dy3HfAl8. The PXRD pattern is theoretical, not measured: it uses a GGA-PBE-relaxed structure and CuKα.
Neutral-atom scattering factors, no anomalous dispersion.

The 10 most intense peaks (2θ from 5° to 70°), by intensity:
2θ 35.23, I = 100
2θ 32.82, I = 74
2θ 38.50, I = 65
2θ 60.16, I = 42
2θ 18.77, I = 42
2θ 21.19, I = 34
2θ 39.40, I = 29
2θ 64.77, I = 23
2θ 19.57, I = 21
2θ 27.25, I = 19

Crystal structure
Unit cell a=5.4581 b=5.4581 c=9.0714 alpha=90.00 beta=90.00 gamma=120.00
Sites, in units of the cell vectors:
Dy (0.0000, 0.0000, 0.0000)
Dy (0.0000, 0.0000, 0.3670)
Dy (0.3333, 0.6667, 0.8618)
Hf (0.3333, 0.6667, 0.4992)
Al (0.0087, 0.5044, 0.1873)
Al (0.3259, 0.1629, 0.6748)
Al (0.4956, 0.5044, 0.1873)
Al (0.4956, 0.9913, 0.1873)
Al (0.6667, 0.3333, 0.4320)
Al (0.6667, 0.3333, 0.9296)
Al (0.8371, 0.1629, 0.6748)
Al (0.8371, 0.6741, 0.6748)